(1)
This entry pairs a crystal structure of Tl4HgBr6 with its simulated powder diffraction line list. Radiation: Cu Ka. Structure: a cell relaxed with PBE.
Peak positions follow from Bragg's law for the DFT cell and can differ from measured ones.

Largest 6 diffraction maxima, by angle, 2θ = 15–90°:
| d/Å | 2theta | intensity | index |
| --- | --- | --- | --- |
| 4.075 | 21.81 | 192 | 2 1 0 |
| 3.041 | 29.37 | 1000 | 2 1 2 |
| 2.882 | 31.03 | 640 | 3 1 0 |
| 1.990 | 45.58 | 213 | 4 1 2 |
| 1.790 | 51.04 | 283 | 3 1 4 |
| 1.587 | 58.14 | 187 | 5 2 2 |

Atomic structure:
a = 9.1119 Å, b = 9.1119 Å, c = 9.1344 Å
α = 90.00°, β = 90.00°, γ = 90.00°
Space group P4/mnc (No. 128)
Inequivalent atoms, fractional coordinates:
Tl (0.1530, 0.3470, 0.2500) (multiplicity 8)
Hg (0.0000, 0.0000, 0.0000) (multiplicity 2)
Br (0.0000, 0.0000, 0.2842) (multiplicity 4)
Br (0.1370, 0.6859, 0.0000) (multiplicity 8)

---

(2)
This entry pairs a crystal structure of HoBr2 with its simulated powder diffraction line list. Radiation: Cu Ka. Structure: a cell relaxed with PBE.
Peak positions follow from Bragg's law for the DFT cell and can differ from measured ones.

Largest 6 diffraction maxima, by angle, 2θ = 15–90°:
| d/Å | 2theta | intensity | index |
| --- | --- | --- | --- |
| 5.146 | 17.23 | 1000 | 1 1 0 |
| 3.254 | 27.41 | 477 | 1 0 1 |
| 2.971 | 30.08 | 455 | 1 1 1 |
| 2.573 | 34.87 | 555 | 2 2 0 |
| 2.426 | 37.06 | 774 | 2 1 1 |
| 2.018 | 44.91 | 414 | 3 0 1 |

Atomic structure:
a = 7.2775 Å, b = 7.2775 Å, c = 3.6385 Å
α = 90.00°, β = 90.00°, γ = 90.00°
Space group P4_2/mnm (No. 136)
Inequivalent atoms, fractional coordinates:
Ho (0.0000, 0.0000, 0.0000) (multiplicity 2)
Br (0.2175, 0.2175, 0.5000) (multiplicity 4)

---

(3)
This entry pairs a crystal structure of HoBr3 with its simulated powder diffraction line list. Radiation: Cu Ka. Structure: a cell relaxed with PBE.
Peak positions follow from Bragg's law for the DFT cell and can differ from measured ones.

Largest 6 diffraction maxima, by angle, 2θ = 15–90°:
| d/Å | 2theta | intensity | index |
| --- | --- | --- | --- |
| 5.080 | 17.46 | 496 | 1 1 0 |
| 4.399 | 20.19 | 616 | 2 0 0 |
| 2.850 | 31.39 | 1000 | 2 0 1 |
| 2.485 | 36.14 | 435 | 2 1 1 |
| 2.308 | 39.03 | 293 | 3 0 1 |
| 2.044 | 44.32 | 401 | 3 1 1 |

Atomic structure:
a = 10.1596 Å, b = 10.1596 Å, c = 3.7402 Å
α = 90.00°, β = 90.00°, γ = 120.00°
Space group P6_3/mmc (No. 194)
Inequivalent atoms, fractional coordinates:
Ho (0.3333, 0.6667, 0.2500) (multiplicity 2)
Br (0.2126, 0.4251, 0.7500) (multiplicity 6)